Structure and theoretical powder diffractogram of Ca2Mg3H10 (a crystal structure in Alexandria, relaxed with PBE; Cu Kα (weighted mean of Kα1 and Kα2)).

Principal peaks in the range 15 to 90 degrees two-theta, low angle first:
2theta, I_rel
29.7, 100
30.3, 49
31.0, 89
31.7, 80
32.2, 36
38.9, 26
45.8, 30
54.4, 28
56.7, 27
57.7, 22

Structure:
a b c (Å): 8.9371 8.9371 7.0358
angles (deg): 109.19 109.19 36.23
Positions (direct):
Ca: 0.1177 0.1177 0.2188
Ca: 0.2239 0.2239 0.8235
Ca: 0.7761 0.7761 0.1765
Ca: 0.8823 0.8823 0.7812
Mg: 0.2397 0.7603 0.5000
Mg: 0.3242 0.3242 0.4701
Mg: 0.4234 0.4234 0.0499
Mg: 0.5766 0.5766 0.9501
Mg: 0.6758 0.6758 0.5299
Mg: 0.7603 0.2397 0.5000
H: 0.0000 0.5000 0.5000
H: 0.0079 0.0079 0.6977
H: 0.0911 0.5963 0.0185
H: 0.0988 0.6661 0.4559
H: 0.2567 0.2567 0.1952
H: 0.2576 0.7424 0.0000
H: 0.3339 0.9012 0.5441
H: 0.3632 0.3632 0.7563
H: 0.4037 0.9089 0.9815
H: 0.4838 0.4838 0.3216
H: 0.5000 0.0000 0.5000
H: 0.5162 0.5162 0.6784
H: 0.5963 0.0911 0.0185
H: 0.6368 0.6368 0.2437
H: 0.6661 0.0988 0.4559
H: 0.7424 0.2576 0.0000
H: 0.7433 0.7433 0.8048
H: 0.9012 0.3339 0.5441
H: 0.9089 0.4037 0.9815
H: 0.9921 0.9921 0.3023